Starting from the GGA-PBE geometry in the Materials Project, the powder diffraction line list of IrS3Cl11 was calculated for Cu Kα.
Kinematic intensities with the Lorentz-polarization factor, no thermal factor.

Crystal structure
```
60
Lattice="8.544 0.000 0.000 0.000 13.907 0.000 -4.456 0.000 15.319" Properties=species:S:1:pos:R:3 pbc="T T T"
Ir -0.480 1.277 4.657
Ir -2.708 5.676 12.317
Ir 6.796 8.231 3.002
Ir 4.568 12.629 10.661
S -0.019 7.267 1.914
S -2.247 13.593 9.573
S -2.170 7.532 11.203
S 0.058 13.328 3.543
S -0.975 3.316 14.338
S 1.253 3.637 6.679
S 2.835 10.270 8.640
S 5.063 10.591 0.981
S 4.030 0.579 11.775
S 6.258 6.374 4.116
S 6.335 0.314 5.746
S 4.107 6.640 13.405
Cl -1.357 3.231 5.783
Cl -3.585 3.722 13.442
Cl -2.393 1.736 9.710
Cl -0.166 5.218 2.051
Cl -0.570 8.869 4.948
Cl -2.798 11.991 12.607
Cl -1.239 7.070 9.429
Cl 0.989 13.790 1.770
Cl 1.423 2.556 4.006
Cl -0.805 4.397 11.666
Cl 1.795 7.589 2.818
Cl -0.433 13.271 10.478
Cl 0.736 0.851 6.679
Cl -1.492 6.103 14.339
Cl -0.655 8.573 12.119
Cl 1.572 12.288 4.460
Cl -1.022 1.340 13.702
Cl 1.205 5.613 6.043
Cl 2.832 3.042 0.957
Cl 0.604 3.911 8.616
Cl 3.040 10.415 0.631
Cl 0.812 10.445 8.291
Cl 3.276 3.462 7.028
Cl 1.048 3.492 14.687
Cl 3.484 9.996 6.702
Cl 1.256 10.865 14.362
Cl 2.882 8.294 9.276
Cl 5.110 12.567 1.617
Cl 2.516 1.619 10.859
Cl 4.743 5.334 3.200
Cl 5.580 7.804 0.980
Cl 3.352 13.056 8.640
Cl 4.521 0.635 4.841
Cl 2.293 6.318 12.501
Cl 4.893 9.510 3.653
Cl 2.665 11.350 11.313
Cl 3.099 0.116 13.549
Cl 5.327 6.837 5.889
Cl 6.886 1.916 2.711
Cl 4.658 5.037 10.371
Cl 4.254 8.689 13.268
Cl 6.481 12.171 5.609
Cl 7.673 10.184 1.877
Cl 5.445 10.676 9.536
```

Main lines, in order of falling intensity (10° ≤ 2θ ≤ 90°):
hkl 1 0 -2, 13.4 deg, I = 100; hkl 1 2 -1, 16.7 deg, I = 82; hkl 0 2 1, 14.0 deg, I = 67; hkl 1 1 1, 15.0 deg, I = 65; hkl 1 0 0, 10.8 deg, I = 65; hkl 0 0 2, 11.6 deg, I = 62; hkl 1 1 0, 12.5 deg, I = 51; hkl 2 2 -3, 27.0 deg, I = 44; hkl 0 1 2, 13.2 deg, I = 37; hkl 2 3 -2, 29.0 deg, I = 36